1.
# In2CuTe
Simulated XRD peak list, copper Kα. Input: a DFT-relaxed cell (GGA-PBE, Alexandria).
Lines closer than 0.1° are merged.

Cell and atoms:
Cell lengths 4.149, 3.970, 6.415 Å; angles 90.00, 108.60, 90.00 degrees
Space group Pm (No. 6)
Unique sites:
In  0.000  0.000  0.000
In  0.327  0.500  0.658
Cu  0.549  0.500  0.100
Te  0.708  0.000  0.414

Main lines, in order of rising 2θ (2θ from 15° to 90°):
two_theta  I_rel  index
26.8  14  0 1 1
30.8  27  1 0 1
30.9  27  1 0 -2
32.1  100  1 1 0
37.3  48  0 1 2
38.4  15  1 1 1
38.5  14  1 1 -2
43.6  23  2 0 -1
45.7  20  0 2 0
56.2  19  1 2 -2
58.8  12  2 1 -3
65.0  14  2 2 -1

---

2.
# AcDyPaO6
Simulated XRD peak list, copper Kα. Input: a DFT-relaxed cell (GGA-PBE, Alexandria).
Lines closer than 0.1° are merged.

Cell and atoms:
Cell lengths 5.283, 5.283, 11.013 Å; angles 90.00, 90.00, 90.00 degrees
Space group P4_2nm (No. 102)
Unique sites:
Ac  0.000  0.000  0.000
Dy  0.000  0.000  0.331
Pa  0.000  0.000  0.666
O  0.174  0.174  0.504
O  0.194  0.194  0.811
O  0.207  0.207  0.177

Main lines, in order of rising 2θ (2θ from 15° to 90°):
two_theta  I_rel  index
23.8  100  1 1 0
29.6  98  1 0 3
33.9  30  2 0 0
45.7  75  2 1 3
48.8  17  2 2 0
55.0  19  3 1 0
55.8  20  1 1 6
58.1  21  3 0 3
61.5  12  2 0 6
69.0  18  3 2 3
77.2  14  3 1 6
79.2  14  4 1 3

---

3.
# Li3GaAg3
Simulated XRD peak list, copper Kα. Input: a DFT-relaxed cell (GGA-PBE, Alexandria).
Lines closer than 0.1° are merged.

Cell and atoms:
Cell lengths 8.951, 9.210, 5.923 Å; angles 90.00, 90.00, 90.00 degrees
Space group Cmmm (No. 65)
Unique sites:
Li  0.000  0.240  0.000
Li  0.201  0.000  0.500
Li  0.232  0.000  0.000
Ga  0.000  0.238  0.500
Ag  0.000  0.500  0.253
Ag  0.250  0.250  0.247

Main lines, in order of rising 2θ (2θ from 15° to 90°):
two_theta  I_rel  index
19.3  33  0 2 0
27.8  53  2 2 0
30.2  21  0 0 2
33.3  15  1 1 2
36.4  13  2 0 2
39.1  29  0 4 0
40.3  27  4 0 0
41.5  100  2 2 2
57.4  18  4 4 0
66.3  12  4 4 2
72.5  17  2 6 2
74.1  16  6 2 2

---

4.
# BaMgNiH6
Simulated XRD peak list, copper Kα. Input: a DFT-relaxed cell (GGA-PBE, Alexandria).
Lines closer than 0.1° are merged.

Cell and atoms:
Cell lengths 4.7768, 4.7768, 5.1257 Å; angles 90.00, 90.00, 120.00 degrees
Space group P-6m2 (No. 187)
Unique sites:
Ba  0.0000  0.0000  0.0000
Mg  0.3333  0.6667  0.5000
Ni  0.6667  0.3333  0.5000
H  0.5227  0.0454  0.2798

Main lines, in order of rising 2θ (2θ from 15° to 90°):
two_theta  I_rel  index
21.5  23  1 0 0
27.7  100  1 0 1
35.0  13  0 0 2
37.7  32  1 1 0
41.4  9  1 0 2
47.4  22  2 0 1
52.4  25  1 1 2
58.4  12  1 0 3
62.1  20  2 1 1
78.8  7  3 0 2
83.9  8  2 1 3
87.0  8  3 1 1